# Li2CuSiO4
Calculated X-ray powder pattern, CuKα. Input: a structure optimized by DFT (PBE).

Main lines, sorted by position (2θ = 5–70°):
d_spacing  Rel. int.  hkl
5.361  60  0 1 1
4.077  29  0 2 1
4.023  56  1 0 0
3.773  32  1 1 0
3.643  100  1 1 -2
3.125  65  0 3 1
2.719  35  0 4 0
2.680  78  0 2 2
2.566  64  2 0 -2
1.562  44  0 6 2

Unit cell a=5.1353 b=10.8760 c=7.8637 alpha=90.00 beta=128.42 gamma=90.00
Space group P2_1/c (No. 14)
Asymmetric unit:
Li  0.0374  0.0727  0.2442 x4
Li  0.1804  0.1630  0.9924 x4
Cu  0.3242  0.6676  0.0108 x4
Si  0.4354  0.0904  0.7447 x4
O  0.1122  0.0895  0.7412 x4
O  0.2423  0.6592  0.5339 x4
O  0.3218  0.1650  0.5236 x4
O  0.4402  0.0503  0.2496 x4